Entry 1:
Theoretical powder diffraction line list
Compound: SmMgS3
Radiation: λ = 1.5418 Å (Cu Kα)
Structure: DFT lattice parameters and positions (GGA-PBE)
Lines closer than 0.1° are merged.

Main lines, in order of rising 2θ (10 to 90 degrees two-theta):
- d 5.918, I 51
- d 5.631, I 55
- d 4.935, I 31
- d 3.555, I 78
- d 3.428, I 58
- d 2.966, I 100
- d 2.468, I 43
- d 2.240, I 67
- d 2.003, I 41
- d 1.979, I 51

Unit cell a=7.1198 b=7.1198 c=7.1198 alpha=57.56 beta=57.56 gamma=57.56
Fractional positions:
Sm 0.1450 0.1450 0.1450
Sm 0.8550 0.8550 0.8550
Mg 0.3465 0.3465 0.3465
Mg 0.6535 0.6535 0.6535
S 0.0653 0.4580 0.7208
S 0.2792 0.9347 0.5420
S 0.4580 0.7208 0.0653
S 0.5420 0.2792 0.9347
S 0.7208 0.0653 0.4580
S 0.9347 0.5420 0.2792

***

Entry 2:
Theoretical powder diffraction line list
Compound: DyB4Rh
Radiation: λ = 1.5418 Å (Cu Kα)
Structure: DFT lattice parameters and positions (GGA-PBE)
Lines closer than 0.1° are merged.

Main lines, in order of rising 2θ (10 to 90 degrees two-theta):
- d 3.576, I 75
- d 2.891, I 83
- d 2.603, I 17
- d 2.401, I 18
- d 2.361, I 20
- d 2.248, I 100
- d 2.105, I 22
- d 1.970, I 28
- d 1.788, I 17
- d 1.521, I 24

Unit cell a=5.9702 b=11.5719 c=3.5759 alpha=90.00 beta=90.00 gamma=90.00
Fractional positions:
Dy 0.1292 0.1491 0.0000
Dy 0.3708 0.6491 0.0000
Dy 0.6292 0.3509 0.0000
Dy 0.8708 0.8509 0.0000
B 0.0245 0.6926 0.5000
B 0.1128 0.5467 0.5000
B 0.1364 0.9690 0.5000
B 0.2129 0.8125 0.5000
B 0.2871 0.3125 0.5000
B 0.3636 0.4690 0.5000
B 0.3872 0.0467 0.5000
B 0.4755 0.1926 0.5000
B 0.5245 0.8074 0.5000
B 0.6128 0.9533 0.5000
B 0.6364 0.5310 0.5000
B 0.7129 0.6875 0.5000
B 0.7871 0.1875 0.5000
B 0.8636 0.0310 0.5000
B 0.8872 0.4533 0.5000
B 0.9755 0.3074 0.5000
Rh 0.1412 0.4056 0.0000
Rh 0.3588 0.9056 0.0000
Rh 0.6412 0.0944 0.0000
Rh 0.8588 0.5944 0.0000